(1)
Diffraction record for TmBeIr. The X-ray diffraction stick pattern is theoretical, not measured: it uses a PBE-relaxed structure and a wavelength of 1.5418 Å.
Neutral-atom scattering factors, no anomalous dispersion.

Structure:
Lattice parameters (Å, degrees): 3.9020 3.9020 3.9144 90.00 90.00 120.00
Space group P-6m2 (No. 187)
Unique sites:
Tm 0.0000 0.0000 0.0000
Be 0.3333 0.6667 0.5000
Ir 0.6667 0.3333 0.5000

Most intense lines, 2θ from 10° to 80°, most intense first:
two_theta	I/Imax	index
35.1	100	1 0 1
26.4	33	1 0 0
46.5	31	1 1 0
59.6	22	2 0 1
67.8	21	1 1 2
78.8	20	2 1 1
46.4	11	0 0 2
78.6	10	1 0 3
54.2	9	1 0 2
54.3	5	2 0 0

=====

(2)
Diffraction record for TmBe17Ir. The X-ray diffraction stick pattern is theoretical, not measured: it uses a PBE-relaxed structure and a wavelength of 1.5418 Å.
Neutral-atom scattering factors, no anomalous dispersion.

Structure:
Lattice parameters (Å, degrees): 7.4740 7.4740 10.8028 90.00 90.00 120.00
Space group R3m (No. 160, hexagonal axes)
Unique sites:
Tm 0.0000 0.0000 0.0000
Be 0.0000 0.0000 0.5551
Be 0.0000 0.0000 0.7501
Be 0.0437 0.3686 0.3228
Be 0.1727 0.3453 0.4924
Be 0.1732 0.3463 0.8365
Be 0.1761 0.3523 0.1384
Ir 0.0000 0.0000 0.3287

Most intense lines, 2θ from 10° to 80°, most intense first:
two_theta	I/Imax	index
23.8	100	1 1 0
34.6	89	1 1 3
16.0	63	1 0 1
49.2	42	3 0 3
24.7	31	0 0 3
21.4	31	0 1 2
41.9	30	3 0 0
71.8	23	1 4 3
56.8	22	1 1 6
48.7	22	2 2 0

=====

(3)
Diffraction record for Tm3BeIr2. The X-ray diffraction stick pattern is theoretical, not measured: it uses a PBE-relaxed structure and a wavelength of 1.5418 Å.
Neutral-atom scattering factors, no anomalous dispersion.

Structure:
Lattice parameters (Å, degrees): 11.015 3.930 11.360 90.00 90.00 90.00
Space group Pnma (No. 62)
Unique sites:
Tm 0.057 0.250 0.120
Tm 0.122 0.750 0.558
Tm 0.202 0.250 0.807
Be 0.127 0.250 0.370
Ir 0.032 0.750 0.318
Ir 0.194 0.750 0.984

Most intense lines, 2θ from 10° to 80°, most intense first:
two_theta	I/Imax	index
32.8	100	0 1 3
33.9	89	1 1 3
43.1	87	4 1 2
46.2	83	0 2 0
34.3	82	3 1 1
37.1	71	3 1 2
33.5	69	4 0 1
32.1	65	2 1 2
28.8	46	1 1 2
47.0	42	3 0 5

=====

(4)
Diffraction record for Be2VIr2. The X-ray diffraction stick pattern is theoretical, not measured: it uses a PBE-relaxed structure and a wavelength of 1.5418 Å.
Neutral-atom scattering factors, no anomalous dispersion.

Structure:
Lattice parameters (Å, degrees): 2.971 14.152 2.794 90.00 90.00 90.00
Space group Cmmm (No. 65)
Unique sites:
Be 0.000 0.200 0.000
V 0.000 0.000 0.000
Ir 0.000 0.373 0.500

Most intense lines, 2θ from 10° to 80°, most intense first:
two_theta	I/Imax	index
25.2	100	0 4 0
41.2	99	0 4 1
45.0	84	1 1 1
35.7	80	1 3 0
32.0	52	0 0 1
30.7	51	1 1 0
44.2	42	1 5 0
48.7	38	1 3 1
77.6	31	2 4 1
65.0	30	1 7 1